# 1
S2XeO6F2: calculated powder X-ray diffraction pattern (Cu Kα (λ = 1.5418 Å)), based on a structure optimized by DFT (PBE).

Atomic structure:
Cell lengths 7.053, 13.884, 10.190 Å; angles 90.00, 126.65, 90.00 degrees
Space group P2_1/c (No. 14)
One atom of each set of equivalent atoms:
S 0.086 0.037 0.254
S 0.382 0.701 0.207
Xe 0.275 0.128 0.774
O 0.068 0.120 0.165
O 0.129 0.028 0.868
O 0.136 0.043 0.412
O 0.350 0.687 0.056
O 0.408 0.622 0.307
O 0.422 0.225 0.678
F 0.152 0.742 0.661
F 0.296 0.526 0.780

Top 10 peaks for 2θ = 10–90°, low angle first:
2theta  I_rel  hkl
14.16  23  1 1 -1
16.75  21  0 2 1
18.75  18  1 1 -2
20.25  19  1 2 0
21.76  100  0 0 2
23.03  39  1 3 -1
24.85  33  1 3 0
29.49  34  2 2 -1
30.80  29  1 3 1
31.68  22  2 2 -3

***

# 2
YSO4F: calculated powder X-ray diffraction pattern (Cu Kα (λ = 1.5418 Å)), based on a structure optimized by DFT (PBE).

Atomic structure:
Cell lengths 8.412, 7.003, 6.452 Å; angles 90.00, 90.00, 90.00 degrees
Space group Pnma (No. 62)
One atom of each set of equivalent atoms:
Y 0.054 0.250 0.152
S 0.093 0.750 0.314
O 0.020 0.250 0.512
O 0.061 0.582 0.174
O 0.242 0.250 0.882
F 0.206 0.750 0.798

Top 10 peaks for 2θ = 10–90°, low angle first:
2theta  I_rel  hkl
17.32  27  1 0 1
21.12  51  2 0 0
25.28  56  2 0 1
25.44  100  0 2 0
32.36  69  1 1 2
42.73  17  3 0 2
43.43  19  1 0 3
45.36  33  4 0 1
49.39  42  1 3 2
52.72  18  4 2 1